Starting from the PBE geometry in Alexandria, the powder X-ray diffraction pattern of Ho3Ga3Hg2 was computed for Cu Kα (weighted mean of Kα1 and Kα2).

Most intense lines, 5° ≤ 2θ ≤ 70°, low angle first:
2θ/deg, Rel. int.
28.30, 30
32.08, 58
32.71, 83
32.98, 27
34.73, 19
36.61, 100
36.94, 26
40.21, 21
40.42, 56
55.89, 24

Atomic structure:
```
Ho3Ga3Hg2
1.0
2.232 -5.529 0.000
2.232 5.529 0.000
0.000 0.000 14.600
Ho Ga Hg
6 6 4
Direct
0.075 0.925 0.615 Ho
0.075 0.925 0.885 Ho
0.349 0.651 0.750 Ho
0.651 0.349 0.250 Ho
0.925 0.075 0.115 Ho
0.925 0.075 0.385 Ho
0.373 0.627 0.250 Ga
0.402 0.598 0.546 Ga
0.402 0.598 0.954 Ga
0.598 0.402 0.046 Ga
0.598 0.402 0.454 Ga
0.627 0.373 0.750 Ga
0.217 0.783 0.098 Hg
0.217 0.783 0.402 Hg
0.783 0.217 0.598 Hg
0.783 0.217 0.902 Hg
```

---

Starting from the PBE geometry in Alexandria, the powder X-ray diffraction pattern of Ho6Ga2Hg was computed for Cu Kα (weighted mean of Kα1 and Kα2).

Most intense lines, 5° ≤ 2θ ≤ 70°, low angle first:
2θ/deg, Rel. int.
27.30, 14
29.34, 22
31.43, 100
33.14, 33
34.20, 50
34.41, 17
34.76, 43
37.35, 27
39.34, 12
58.71, 24

Atomic structure:
```
Ho6Ga2Hg
1.0
-4.794 4.815 5.213
4.794 -4.815 5.213
4.794 4.815 -5.213
Ho Ga Hg
12 4 2
Direct
0.028 0.823 0.205 Ho
0.245 0.546 0.301 Ho
0.245 0.945 0.699 Ho
0.275 0.319 0.594 Ho
0.275 0.681 0.957 Ho
0.382 0.177 0.205 Ho
0.618 0.823 0.795 Ho
0.725 0.319 0.043 Ho
0.725 0.681 0.406 Ho
0.755 0.055 0.301 Ho
0.755 0.454 0.699 Ho
0.972 0.177 0.795 Ho
0.000 0.147 0.147 Ga
0.000 0.853 0.853 Ga
0.378 0.378 0.000 Ga
0.622 0.622 0.000 Ga
0.000 0.500 0.500 Hg
0.500 0.000 0.500 Hg
```

---

Starting from the PBE geometry in Alexandria, the powder X-ray diffraction pattern of GaHg6I2 was computed for Cu Kα (weighted mean of Kα1 and Kα2).

Most intense lines, 5° ≤ 2θ ≤ 70°, low angle first:
2θ/deg, Rel. int.
9.86, 45
26.36, 79
27.27, 100
30.48, 70
30.75, 81
35.48, 45
35.61, 48
36.97, 48
39.30, 42
42.09, 54

Atomic structure:
```
GaHg6I2
1.0
4.294 0.000 0.000
2.138 7.785 0.000
0.006 3.031 8.968
Ga Hg I
1 6 2
Direct
0.000 0.000 0.000 Ga
0.138 0.731 0.274 Hg
0.220 0.559 0.720 Hg
0.401 0.191 0.514 Hg
0.599 0.809 0.486 Hg
0.780 0.441 0.280 Hg
0.862 0.269 0.726 Hg
0.393 0.215 0.107 I
0.607 0.785 0.893 I
```